This entry pairs a crystal structure of Tm2ThCu2Ge2 with its calculated powder XRD pattern. Radiation: λ = 1.5418 Å (Cu Kα). Structure: DFT lattice parameters and positions (GGA-PBE).

Structure:
```
Tm2ThCu2Ge2
1.0
2.0911 1.2073 10.1691
-2.0911 1.2073 10.1691
0.0000 -2.4146 10.1691
Tm Th Cu Ge
2 1 2 2
Direct
0.1249 0.1249 0.1249
0.8751 0.8751 0.8751
0.0000 0.0000 0.0000
0.3962 0.3962 0.3962
0.6038 0.6038 0.6038
0.2626 0.2626 0.2626
0.7374 0.7374 0.7374
```

Top 10 peaks for 2θ = 10–80°, sorted by position:
Position (°2θ)  d/Å  I/Imax
24.75  3.597  458
32.13  2.786  657
34.14  2.626  1000
43.27  2.091  669
44.55  2.034  151
54.38  1.687  137
54.90  1.672  146
56.23  1.636  241
63.84  1.458  308
73.50  1.288  217

=====

This entry pairs a crystal structure of Dy3In2Co2 with its calculated powder XRD pattern. Radiation: λ = 1.5418 Å (Cu Kα). Structure: DFT lattice parameters and positions (GGA-PBE).

Structure:
```
Dy3In2Co2
1.0
3.7795 0.0000 0.0000
0.0000 21.8582 0.0000
0.0000 0.0000 3.7989
Dy In Co
6 4 4
Direct
0.0000 0.0000 0.0000
0.0000 0.1776 0.0000
0.0000 0.8224 0.0000
0.5000 0.3224 0.0000
0.5000 0.5000 0.0000
0.5000 0.6776 0.0000
0.0000 0.4104 0.5000
0.0000 0.5896 0.5000
0.5000 0.0896 0.5000
0.5000 0.9104 0.5000
0.0000 0.2784 0.5000
0.0000 0.7216 0.5000
0.5000 0.2216 0.5000
0.5000 0.7784 0.5000
```

Top 10 peaks for 2θ = 10–80°, sorted by position:
Position (°2θ)  d/Å  I/Imax
31.29  2.859  627
33.70  2.659  1000
34.10  2.629  980
35.70  2.515  189
37.36  2.407  288
47.89  1.899  239
48.15  1.890  235
57.76  1.596  271
58.32  1.582  215
60.31  1.535  380